Diffraction record for Tb2Ho3In2. The powder X-ray diffraction pattern is simulated, not measured: it uses a cell relaxed with GGA-PBE and a wavelength of 1.5418 Å.
Peak positions follow from Bragg's law for the DFT cell and can differ from measured ones.

Atomic structure:
```
data_Tb2Ho3In2
_chemical_formula_sum 'Tb6 Ho9 In6'
_space_group_name_H-M_alt 'R -3 m'
_space_group_IT_number 166
_space_group_name_Hall '-R 3 2"'
_cell_length_a 5.3737
_cell_length_b 5.3737
_cell_length_c 24.0058
_cell_angle_alpha 90.00
_cell_angle_beta 90.00
_cell_angle_gamma 120.00
loop_
_atom_site_label
_atom_site_type_symbol
_atom_site_fract_x
_atom_site_fract_y
_atom_site_fract_z
Tb1 Tb 0.0000 0.0000 0.0760
Ho1 Ho 0.0000 0.0000 0.3471
Ho2 Ho 0.0000 0.0000 0.5000
In1 In 0.0000 0.0000 0.2166
```

Top 10 peaks for 10 to 90 degrees two-theta, sorted by position:
2theta  d [Å]  intensity  (hkl)
32.43  2.761  100  1 0 7
33.35  2.687  100  1 1 0
47.20  1.925  35  0 2 7
57.26  1.609  16  0 1 14
59.02  1.565  36  2 1 7
59.60  1.551  19  3 0 0
67.90  1.380  9  2 0 14
70.04  1.343  12  2 2 0
77.79  1.228  13  1 2 14
79.31  1.208  15  1 3 7


Diffraction record for Li5Cd2Ga2. The powder X-ray diffraction pattern is simulated, not measured: it uses a cell relaxed with GGA-PBE and a wavelength of 1.5418 Å.
Peak positions follow from Bragg's law for the DFT cell and can differ from measured ones.

Atomic structure:
```
data_Li5Cd2Ga2
_chemical_formula_sum 'Li20 Cd8 Ga8'
_space_group_name_H-M_alt 'F m m m'
_space_group_IT_number 69
_space_group_name_Hall '-F 2 2'
_cell_length_a 4.5897
_cell_length_b 9.8541
_cell_length_c 13.4731
_cell_angle_alpha 90.00
_cell_angle_beta 90.00
_cell_angle_gamma 90.00
loop_
_atom_site_label
_atom_site_type_symbol
_atom_site_fract_x
_atom_site_fract_y
_atom_site_fract_z
Li1 Li 0.0000 0.0000 0.0000
Li2 Li 0.0000 0.1694 0.1635
Cd1 Cd 0.0000 0.1599 0.5000
Ga1 Ga 0.0000 0.0000 0.3184
```

Top 10 peaks for 10 to 90 degrees two-theta, sorted by position:
2theta  d [Å]  intensity  (hkl)
13.14  6.737  30  0 0 2
22.36  3.976  100  0 2 2
26.46  3.368  14  0 0 4
34.22  2.620  19  1 3 1
38.93  2.314  14  0 4 2
39.25  2.296  96  2 0 0
39.86  2.262  26  1 1 5
40.16  2.246  16  0 0 6
45.64  1.988  14  2 2 2
71.14  1.325  18  3 3 3


Diffraction record for Ba3Hg9Au2. The powder X-ray diffraction pattern is simulated, not measured: it uses a cell relaxed with GGA-PBE and a wavelength of 1.5418 Å.
Peak positions follow from Bragg's law for the DFT cell and can differ from measured ones.

Atomic structure:
```
data_Ba3Hg9Au2
_chemical_formula_sum 'Ba6 Hg18 Au4'
_space_group_name_H-M_alt 'I m m m'
_space_group_IT_number 71
_space_group_name_Hall '-I 2 2'
_cell_length_a 4.8722
_cell_length_b 11.1181
_cell_length_c 15.1622
_cell_angle_alpha 90.00
_cell_angle_beta 90.00
_cell_angle_gamma 90.00
loop_
_atom_site_label
_atom_site_type_symbol
_atom_site_fract_x
_atom_site_fract_y
_atom_site_fract_z
Ba1 Ba 0.0000 0.0000 0.0000
Ba2 Ba 0.0000 0.0000 0.3227
Hg1 Hg 0.0000 0.2821 0.1218
Hg2 Hg 0.0000 0.3640 0.3213
Hg3 Hg 0.0000 0.5000 0.0000
Au1 Au 0.0000 0.2556 0.5000
```

Top 10 peaks for 10 to 90 degrees two-theta, sorted by position:
2theta  d [Å]  intensity  (hkl)
15.94  5.559  24  0 2 0
19.88  4.465  20  1 1 0
30.13  2.967  100  1 2 3
30.30  2.950  49  1 3 0
34.36  2.610  22  0 4 2
34.85  2.575  42  1 0 5
35.52  2.527  22  0 0 6
36.90  2.436  53  2 0 0
38.54  2.336  40  1 2 5
56.14  1.638  21  1 6 3


Diffraction record for B2C. The powder X-ray diffraction pattern is simulated, not measured: it uses a cell relaxed with GGA-PBE and a wavelength of 1.5418 Å.
Peak positions follow from Bragg's law for the DFT cell and can differ from measured ones.

Atomic structure:
```
data_B2C
_chemical_formula_sum 'B8 C4'
_space_group_name_H-M_alt 'P -1'
_space_group_IT_number 2
_space_group_name_Hall '-P 1'
_cell_length_a 4.1052
_cell_length_b 4.2550
_cell_length_c 5.3119
_cell_angle_alpha 107.23
_cell_angle_beta 91.38
_cell_angle_gamma 104.69
loop_
_atom_site_label
_atom_site_type_symbol
_atom_site_fract_x
_atom_site_fract_y
_atom_site_fract_z
B1 B 0.0267 0.0389 0.3195
B2 B 0.2362 0.6718 0.6462
B3 B 0.3550 0.5963 0.2364
B4 B 0.4015 0.0887 0.8777
C1 C 0.0342 0.6825 0.3653
C2 C 0.3692 0.2161 0.2111
```

Top 10 peaks for 10 to 90 degrees two-theta, sorted by position:
2theta  d [Å]  intensity  (hkl)
17.58  5.044  33  0 0 1
24.05  3.701  31  0 1 -1
27.15  3.285  26  1 0 -1
30.21  2.959  100  1 0 1
35.60  2.522  60  0 0 2
36.13  2.486  44  1 1 -1
45.83  1.980  20  1 -2 0
48.19  1.888  17  2 -1 1
62.31  1.490  30  1 0 3
78.26  1.222  17  3 0 -2


Diffraction record for LiTl3. The powder X-ray diffraction pattern is simulated, not measured: it uses a cell relaxed with GGA-PBE and a wavelength of 1.5418 Å.
Peak positions follow from Bragg's law for the DFT cell and can differ from measured ones.

Atomic structure:
```
data_LiTl3
_chemical_formula_sum 'Li4 Tl12'
_space_group_name_H-M_alt 'P n m a'
_space_group_IT_number 62
_space_group_name_Hall '-P 2ac 2n'
_cell_length_a 8.4524
_cell_length_b 8.7530
_cell_length_c 5.7210
_cell_angle_alpha 90.00
_cell_angle_beta 90.00
_cell_angle_gamma 90.00
loop_
_atom_site_label
_atom_site_type_symbol
_atom_site_fract_x
_atom_site_fract_y
_atom_site_fract_z
Li1 Li 0.1232 0.2500 0.0871
Tl1 Tl 0.0241 0.7500 0.4062
Tl2 Tl 0.1777 0.5583 0.8992
```

Top 10 peaks for 10 to 90 degrees two-theta, sorted by position:
2theta  d [Å]  intensity  (hkl)
27.75  3.215  100  1 2 1
28.16  3.169  34  2 1 1
29.38  3.040  85  2 2 0
33.06  2.710  61  1 0 2
34.51  2.599  41  0 3 1
34.66  2.588  48  1 1 2
35.52  2.528  82  3 0 1
36.16  2.484  58  1 3 1
55.57  1.654  59  3 3 2
57.77  1.596  33  0 3 3


Diffraction record for Be2TcAs. The powder X-ray diffraction pattern is simulated, not measured: it uses a cell relaxed with GGA-PBE and a wavelength of 1.5418 Å.
Peak positions follow from Bragg's law for the DFT cell and can differ from measured ones.

Atomic structure:
```
data_Be2TcAs
_chemical_formula_sum 'Be2 Tc1 As1'
_space_group_name_H-M_alt 'P 4/m m m'
_space_group_IT_number 123
_space_group_name_Hall '-P 4 2'
_cell_length_a 3.1384
_cell_length_b 3.1384
_cell_length_c 4.8331
_cell_angle_alpha 90.00
_cell_angle_beta 90.00
_cell_angle_gamma 90.00
loop_
_atom_site_label
_atom_site_type_symbol
_atom_site_fract_x
_atom_site_fract_y
_atom_site_fract_z
Be1 Be 0.0000 0.0000 0.2273
Tc1 Tc 0.5000 0.5000 0.0000
As1 As 0.5000 0.5000 0.5000
```

Top 10 peaks for 10 to 90 degrees two-theta, sorted by position:
2theta  d [Å]  intensity  (hkl)
28.44  3.138  100  1 0 0
37.21  2.417  25  0 0 2
40.65  2.219  50  1 1 0
47.49  1.915  63  1 0 2
56.28  1.635  29  1 1 2
58.85  1.569  16  2 0 0
66.63  1.404  17  2 1 0
71.71  1.316  14  2 0 2
78.87  1.214  28  2 1 2
86.27  1.128  9  1 0 4